(1)
Computed X-ray powder pattern
Compound: ThSc5Sn6
Radiation: Cu Kα, 1.54184 Å
Structure: DFT lattice parameters and positions (GGA-PBE)
Lines closer than 0.1° are merged.

Atomic structure:
abc: 5.952 14.670 7.139
angles: 90.00 105.13 90.00
Space group C2/m (No. 12)
One atom of each set of equivalent atoms:
Th  0.000  0.000  0.000
Sc  0.000  0.000  0.500
Sc  0.000  0.323  0.000
Sc  0.000  0.353  0.500
Sn  0.012  0.176  0.722
Sn  0.034  0.500  0.228

Peak list (10 most intense, 10 to 90 degrees two-theta, low angle first)
| 2θ (°) | I/Imax | index |
| --- | --- | --- |
| 17.7 | 18 | 0 2 1 |
| 23.9 | 13 | 1 3 0 |
| 31.1 | 61 | 2 0 0 |
| 32.3 | 100 | 1 3 -2 |
| 36.8 | 37 | 0 6 0 |
| 38.5 | 68 | 1 3 2 |
| 48.9 | 31 | 2 6 0 |
| 51.7 | 23 | 3 3 -2 |
| 63.4 | 14 | 1 9 -2 |
| 64.4 | 15 | 3 3 2 |

***

(2)
Computed X-ray powder pattern
Compound: K2Na5In4
Radiation: Cu Kα, 1.54184 Å
Structure: DFT lattice parameters and positions (GGA-PBE)
Lines closer than 0.1° are merged.

Atomic structure:
abc: 13.327 6.927 9.361
angles: 90.00 119.15 90.00
Space group C2/m (No. 12)
One atom of each set of equivalent atoms:
K  0.009  0.000  0.229
Na  0.000  0.500  0.000
Na  0.218  0.241  0.673
In  0.020  0.500  0.359
In  0.219  0.500  0.963

Peak list (10 most intense, 10 to 90 degrees two-theta, low angle first)
| 2θ (°) | I/Imax | index |
| --- | --- | --- |
| 13.7 | 97 | 2 0 -1 |
| 14.9 | 100 | 1 1 0 |
| 19.5 | 55 | 2 0 -2 |
| 25.7 | 69 | 0 2 0 |
| 30.7 | 57 | 4 0 0 |
| 32.3 | 85 | 4 0 -3 |
| 32.5 | 82 | 2 2 -2 |
| 32.7 | 38 | 3 1 1 |
| 34.5 | 51 | 2 2 1 |
| 39.7 | 38 | 1 1 3 |

***

(3)
Computed X-ray powder pattern
Compound: FeAg
Radiation: Cu Kα, 1.54184 Å
Structure: DFT lattice parameters and positions (GGA-PBE)
Lines closer than 0.1° are merged.

Atomic structure:
abc: 3.028 4.394 4.563
angles: 90.00 90.00 90.00
Space group Cmmm (No. 65)
One atom of each set of equivalent atoms:
Fe  0.000  0.000  0.000
Ag  0.000  0.500  0.500

Peak list (10 most intense, 10 to 90 degrees two-theta, low angle first)
| 2θ (°) | I/Imax | index |
| --- | --- | --- |
| 19.5 | 16 | 0 0 1 |
| 39.5 | 28 | 0 0 2 |
| 41.1 | 25 | 0 2 0 |
| 41.3 | 100 | 1 1 1 |
| 58.3 | 17 | 0 2 2 |
| 72.8 | 17 | 1 1 3 |
| 75.0 | 15 | 1 3 1 |
| 75.3 | 8 | 2 0 2 |
| 76.4 | 7 | 2 2 0 |
| 89.6 | 10 | 2 2 2 |

***

(4)
Computed X-ray powder pattern
Compound: AlZnCu2Au
Radiation: Cu Kα, 1.54184 Å
Structure: DFT lattice parameters and positions (GGA-PBE)
Lines closer than 0.1° are merged.

Atomic structure:
abc: 6.500 3.586 6.885
angles: 90.00 104.66 90.00
Space group P2_1/m (No. 11)
One atom of each set of equivalent atoms:
Al  0.202  0.250  0.098
Zn  0.175  0.250  0.508
Cu  0.475  0.750  0.610
Cu  0.495  0.250  0.864
Au  0.156  0.750  0.808

Peak list (10 most intense, 10 to 90 degrees two-theta, low angle first)
| 2θ (°) | I/Imax | index |
| --- | --- | --- |
| 16.8 | 47 | 1 0 -1 |
| 21.8 | 46 | 1 0 1 |
| 28.3 | 61 | 0 1 1 |
| 30.1 | 62 | 1 1 -1 |
| 42.1 | 100 | 1 1 2 |
| 42.5 | 97 | 2 1 -2 |
| 43.0 | 27 | 2 1 1 |
| 43.2 | 48 | 3 0 0 |
| 50.9 | 32 | 0 2 0 |
| 68.9 | 29 | 3 2 0 |

***

(5)
Computed X-ray powder pattern
Compound: ErBe4SiIr2
Radiation: Cu Kα, 1.54184 Å
Structure: DFT lattice parameters and positions (GGA-PBE)
Lines closer than 0.1° are merged.

Atomic structure:
abc: 3.9189 3.9189 23.5466
angles: 90.00 90.00 120.00
Space group R-3m (No. 166, hexagonal axes)
One atom of each set of equivalent atoms:
Er  0.0000  0.0000  0.0000
Be  0.0000  0.0000  0.1234
Be  0.0000  0.0000  0.4067
Si  0.0000  0.0000  0.5000
Ir  0.0000  0.0000  0.2293

Peak list (10 most intense, 10 to 90 degrees two-theta, low angle first)
| 2θ (°) | I/Imax | index |
| --- | --- | --- |
| 26.5 | 19 | 1 0 1 |
| 30.4 | 100 | 1 0 4 |
| 32.5 | 45 | 0 1 5 |
| 34.3 | 23 | 0 0 9 |
| 40.6 | 29 | 0 1 8 |
| 46.3 | 46 | 1 1 0 |
| 56.4 | 18 | 0 2 4 |
| 57.7 | 26 | 1 0 13 |
| 58.9 | 31 | 1 1 9 |
| 77.0 | 15 | 0 2 13 |

***

(6)
Computed X-ray powder pattern
Compound: PmZn2B2O6
Radiation: Cu Kα, 1.54184 Å
Structure: DFT lattice parameters and positions (GGA-PBE)
Lines closer than 0.1° are merged.

Atomic structure:
abc: 5.0501 5.0501 7.2404
angles: 90.00 90.00 120.00
Space group P-3 (No. 147)
One atom of each set of equivalent atoms:
Pm  0.0000  0.0000  0.0000
Zn  0.3333  0.6667  0.3124
B  0.3333  0.6667  0.7917
O  0.0557  0.6600  0.7975

Peak list (10 most intense, 10 to 90 degrees two-theta, low angle first)
| 2θ (°) | I/Imax | index |
| --- | --- | --- |
| 12.2 | 38 | 0 0 1 |
| 23.8 | 100 | 0 1 1 |
| 32.1 | 78 | 1 0 2 |
| 35.6 | 36 | 1 1 0 |
| 43.2 | 28 | 2 0 1 |
| 48.6 | 18 | 0 2 2 |
| 52.4 | 30 | 1 1 3 |
| 54.9 | 12 | 0 1 4 |
| 57.2 | 23 | 1 2 1 |
| 61.7 | 19 | 3 -1 2 |